This entry pairs a crystal structure of Cr4Cu3HgO12 with its computed powder diffraction line list. Radiation: CuKα. Structure: the PBE+U geometry in Alexandria.
Lines closer than 0.1° are merged.

Principal peaks in the range 5 to 70 degrees two-theta, most intense first:
two_theta	I_rel
34.2	100
61.3	46
16.9	24
49.2	23
45.8	16
38.4	15

Structural model:
```
Cr4Cu3HgO12
1.0
-3.7055 3.7055 3.7055
3.7055 -3.7055 3.7055
3.7055 3.7055 -3.7055
Cr Cu Hg O
4 3 1 12
Cartesian
1.8527 1.8527 -1.8527
1.8527 -1.8527 1.8527
-1.8527 1.8527 1.8527
1.8527 1.8527 1.8527
3.7055 0.0000 0.0000
0.0000 3.7055 0.0000
0.0000 0.0000 3.7055
0.0000 0.0000 0.0000
3.7055 2.4345 -1.3673
2.3382 0.0000 1.2710
5.0728 0.0000 1.2710
1.2710 2.3382 0.0000
2.4345 -1.3673 3.7055
0.0000 1.2710 2.3382
3.7055 2.4345 1.3673
1.2710 5.0728 0.0000
2.4345 1.3673 3.7055
-1.3673 3.7055 2.4345
1.3673 3.7055 2.4345
0.0000 1.2710 5.0728
```